Ca2ZrV: calculated X-ray diffraction stick pattern (Cu Kα, 1.54184 Å), based on a GGA-PBE-relaxed structure.
Intensities are scaled so that the largest is 100.

Largest 10 diffraction maxima, by angle, 10° ≤ 2θ ≤ 90°:
two_theta	I/Imax
20.3	8
23.5	8
33.4	100
39.4	5
48.0	17
54.1	3
59.7	34
70.2	10
80.0	14
89.5	3

Atomic structure:
```
4
Lattice="0.000 3.793 3.793 3.793 0.000 3.793 3.793 3.793 0.000" Properties=species:S:1:pos:R:3 pbc="T T T"
Ca 1.896 1.896 1.896
Ca 5.689 5.689 5.689
Zr 0.000 0.000 0.000
V 3.793 3.793 3.793
```



Pm2Er6Zr: calculated X-ray diffraction stick pattern (Cu Kα, 1.54184 Å), based on a GGA-PBE-relaxed structure.
Intensities are scaled so that the largest is 100.

Largest 10 diffraction maxima, by angle, 10° ≤ 2θ ≤ 90°:
two_theta	I/Imax
26.2	11
32.3	83
32.4	100
46.3	20
46.4	10
57.6	16
57.7	34
64.2	14
64.4	16
67.7	11

Atomic structure:
```
9
Lattice="8.305 -4.791 0.000 8.305 4.791 0.000 -0.011 0.000 3.402" Properties=species:S:1:pos:R:3 pbc="T T T"
Pm 2.769 0.000 0.000
Pm 13.829 0.000 3.402
Er 5.601 1.556 1.702
Er 8.299 3.113 1.701
Er 5.601 -1.556 1.702
Er 10.997 1.556 1.700
Er 8.299 -3.113 1.701
Er 10.997 -1.556 1.700
Zr 8.305 0.000 0.000
```



Pr12NdAl4N3: calculated X-ray diffraction stick pattern (Cu Kα, 1.54184 Å), based on a GGA-PBE-relaxed structure.
Intensities are scaled so that the largest is 100.

Largest 10 diffraction maxima, by angle, 10° ≤ 2θ ≤ 90°:
two_theta	I/Imax
17.2	50
30.1	100
34.9	76
39.2	21
50.2	51
53.4	11
59.6	38
62.5	16
81.6	14
84.2	20

Atomic structure:
```
20
Lattice="-5.144 5.144 5.144 5.144 -5.144 5.144 5.144 5.144 -5.144" Properties=species:S:1:pos:R:3 pbc="T T T"
Pr 2.822 0.000 0.000
Pr 7.466 0.000 0.000
Pr 5.144 2.572 0.000
Pr 5.144 0.000 2.572
Pr 0.000 2.822 0.000
Pr 0.000 0.000 2.822
Pr 2.572 5.144 0.000
Pr 2.572 0.000 5.144
Pr 0.000 7.466 0.000
Pr 0.000 0.000 7.466
Pr 0.000 5.144 2.572
Pr 0.000 2.572 5.144
Nd 0.000 0.000 0.000
Al 2.572 2.572 -2.572
Al 2.572 -2.572 2.572
Al -2.572 2.572 2.572
Al 2.572 2.572 2.572
N 5.144 0.000 0.000
N 0.000 5.144 0.000
N 0.000 0.000 5.144
```



MgFePb: calculated X-ray diffraction stick pattern (Cu Kα, 1.54184 Å), based on a GGA-PBE-relaxed structure.
Intensities are scaled so that the largest is 100.

Largest 10 diffraction maxima, by angle, 10° ≤ 2θ ≤ 90°:
two_theta	I/Imax
17.1	100
26.9	70
28.7	60
36.5	94
37.7	90
37.9	85
41.6	46
52.2	32
66.3	33
69.1	29

Atomic structure:
```
3
Lattice="-1.630 1.752 5.198 1.630 -1.752 5.198 1.630 1.752 -5.198" Properties=species:S:1:pos:R:3 pbc="T T T"
Mg 0.000 0.000 0.000
Fe 0.000 0.000 6.640
Pb 0.000 0.000 3.043
```



Zn3Pt: calculated X-ray diffraction stick pattern (Cu Kα, 1.54184 Å), based on a GGA-PBE-relaxed structure.
Intensities are scaled so that the largest is 100.

Largest 10 diffraction maxima, by angle, 10° ≤ 2θ ≤ 90°:
two_theta	I/Imax
20.9	32
21.5	36
25.1	52
29.8	50
39.9	100
40.5	60
43.2	50
43.8	37
44.9	74
46.1	48

Atomic structure:
```
16
Lattice="6.432 0.000 0.000 0.000 8.267 0.000 0.000 0.000 4.956" Properties=species:S:1:pos:R:3 pbc="T T T"
Zn 0.072 2.067 0.506
Zn 1.086 4.449 1.864
Zn 1.086 7.951 1.864
Zn 2.130 0.316 4.342
Zn 2.130 3.818 4.342
Zn 3.144 6.200 2.983
Zn 3.289 2.067 1.972
Zn 4.302 4.449 0.614
Zn 4.302 7.951 0.614
Zn 5.346 0.316 3.091
Zn 5.346 3.818 3.091
Zn 6.360 6.200 4.450
Pt 0.910 2.067 2.941
Pt 2.306 6.200 0.463
Pt 4.126 2.067 4.493
Pt 5.522 6.200 2.015
```



Mg2In6Sn: calculated X-ray diffraction stick pattern (Cu Kα, 1.54184 Å), based on a GGA-PBE-relaxed structure.
Intensities are scaled so that the largest is 100.

Largest 10 diffraction maxima, by angle, 10° ≤ 2θ ≤ 90°:
two_theta	I/Imax
23.7	29
28.2	55
30.9	40
32.6	100
32.8	97
35.9	70
36.7	49
37.6	33
39.4	31
40.5	27

Atomic structure:
```
9
Lattice="4.618 0.000 0.000 -2.093 6.744 0.000 -1.373 -1.033 7.499" Properties=species:S:1:pos:R:3 pbc="T T T"
Mg -0.618 1.676 3.743
Mg 1.771 4.035 3.756
In -0.672 -0.501 6.196
In -0.523 3.938 1.429
In -0.601 3.921 6.061
In 1.753 1.790 1.438
In 1.676 1.773 6.070
In 1.825 6.213 1.303
Sn 1.623 -0.516 3.750
```



> Number 1 is which compound?

Ca2ZrV



Please write out number 5 again, unchanged.
Zn3Pt: calculated X-ray diffraction stick pattern (Cu Kα, 1.54184 Å), based on a GGA-PBE-relaxed structure.
Intensities are scaled so that the largest is 100.

Largest 10 diffraction maxima, by angle, 10° ≤ 2θ ≤ 90°:
two_theta	I/Imax
20.9	32
21.5	36
25.1	52
29.8	50
39.9	100
40.5	60
43.2	50
43.8	37
44.9	74
46.1	48

Atomic structure:
```
16
Lattice="6.432 0.000 0.000 0.000 8.267 0.000 0.000 0.000 4.956" Properties=species:S:1:pos:R:3 pbc="T T T"
Zn 0.072 2.067 0.506
Zn 1.086 4.449 1.864
Zn 1.086 7.951 1.864
Zn 2.130 0.316 4.342
Zn 2.130 3.818 4.342
Zn 3.144 6.200 2.983
Zn 3.289 2.067 1.972
Zn 4.302 4.449 0.614
Zn 4.302 7.951 0.614
Zn 5.346 0.316 3.091
Zn 5.346 3.818 3.091
Zn 6.360 6.200 4.450
Pt 0.910 2.067 2.941
Pt 2.306 6.200 0.463
Pt 4.126 2.067 4.493
Pt 5.522 6.200 2.015
```